Theoretical powder X-ray diffraction pattern of Fe10O9F11 for Cu Kα (λ = 1.5418 Å), from a cell relaxed with PBE+U.
Peak positions follow from Bragg's law for the DFT cell and can differ from measured ones.

Largest 6 diffraction maxima, sorted by position, 2θ = 15–90°:
two_theta	d (Å)	Rel. int.
26.91	3.313	100
27.55	3.238	98
35.06	2.560	54
35.19	2.550	56
53.18	1.722	30
67.64	1.385	30

```
30
Lattice="4.605 0.000 0.000 0.000 15.315 0.000 -0.107 0.000 4.660" Properties=species:S:1:pos:R:3 pbc="T T T"
Fe 0.000 0.000 0.000
Fe 0.051 6.204 4.544
Fe 0.051 9.112 4.544
Fe 2.242 4.447 2.025
Fe 2.242 10.868 2.025
Fe 2.395 7.658 2.206
Fe 2.568 1.510 2.289
Fe 2.568 13.805 2.289
Fe 4.484 3.041 4.643
Fe 4.484 12.275 4.643
O 0.931 4.510 0.698
O 0.931 10.805 0.698
O 1.042 7.658 0.770
O 3.238 3.042 1.325
O 3.238 12.273 1.325
O 3.326 0.000 1.390
O 3.733 1.513 3.797
O 3.733 13.802 3.797
O 3.749 7.658 3.619
F 0.971 1.494 0.895
F 0.971 13.821 0.895
F 1.324 2.988 3.128
F 1.324 12.327 3.128
F 1.362 5.906 2.998
F 1.362 9.409 2.998
F 1.399 0.000 3.214
F 3.244 5.941 1.213
F 3.244 9.374 1.213
F 3.579 4.522 3.549
F 3.579 10.793 3.549
```